Simulated X-ray powder pattern
Compound: Bi2Pb2O5
Radiation: copper Kα
Structure: a crystal structure in Alexandria, relaxed with GGA-PBE
Kinematic intensities with the Lorentz-polarization factor, no thermal factor.

The 6 most intense peaks (2θ from 5° to 70°), in order of rising 2θ:
Position (°2θ)	I (rel.)
27.59	27
27.76	27
29.97	100
39.55	26
50.30	21
50.50	24

Structure:
```
data_Bi2Pb2O5
_chemical_formula_sum 'Bi4 Pb4 O10'
_cell_length_a 9.1073
_cell_length_b 9.1073
_cell_length_c 9.1073
_cell_angle_alpha 60.06
_cell_angle_beta 138.68
_cell_angle_gamma 138.42
_space_group_name_H-M_alt 'P 1'
_space_group_IT_number 1
_space_group_name_Hall 'P 1'
loop_
_atom_site_label
_atom_site_fract_x
_atom_site_fract_y
_atom_site_fract_z
Bi1 0.0056 0.1213 0.1269
Bi2 0.0056 0.3787 0.3843
Bi3 0.9944 0.6213 0.6157
Bi4 0.9944 0.8787 0.8731
Pb1 0.4259 0.7116 0.2142
Pb2 0.4974 0.2116 0.7858
Pb3 0.5281 0.0281 0.5000
Pb4 0.5281 0.5281 0.0000
O1 0.1128 0.2045 0.7420
O2 0.1128 0.8708 0.4083
O3 0.1418 0.2726 0.3692
O4 0.4625 0.3708 0.2580
O5 0.4625 0.7045 0.5917
O6 0.4648 0.0261 0.1424
O7 0.4648 0.8224 0.9388
O8 0.8837 0.3224 0.8576
O9 0.8837 0.5261 0.0612
O10 0.9033 0.7726 0.6308
```

=====

Simulated X-ray powder pattern
Compound: Pr3Ho2Tl
Radiation: copper Kα
Structure: a crystal structure in Alexandria, relaxed with GGA-PBE
Kinematic intensities with the Lorentz-polarization factor, no thermal factor.

The 6 most intense peaks (2θ from 5° to 70°), in order of rising 2θ:
Position (°2θ)	I (rel.)
27.81	32
30.36	39
30.93	67
31.10	71
31.84	100
34.76	26

Structure:
```
data_Pr3Ho2Tl
_chemical_formula_sum 'Pr6 Ho4 Tl2'
_cell_length_a 9.3924
_cell_length_b 9.3924
_cell_length_c 6.5649
_cell_angle_alpha 98.31
_cell_angle_beta 98.31
_cell_angle_gamma 43.19
_space_group_name_H-M_alt 'P 1'
_space_group_IT_number 1
_space_group_name_Hall 'P 1'
loop_
_atom_site_label
_atom_site_fract_x
_atom_site_fract_y
_atom_site_fract_z
Pr1 0.0511 0.2873 0.0447
Pr2 0.2296 0.7704 0.7500
Pr3 0.2873 0.0511 0.5447
Pr4 0.7127 0.9489 0.4553
Pr5 0.7704 0.2296 0.2500
Pr6 0.9489 0.7127 0.9553
Ho1 0.2288 0.4482 0.4296
Ho2 0.4482 0.2288 0.9296
Ho3 0.5518 0.7712 0.0704
Ho4 0.7712 0.5518 0.5704
Tl1 0.2835 0.7165 0.2500
Tl2 0.7165 0.2835 0.7500
```

=====

Simulated X-ray powder pattern
Compound: Tb2YTa
Radiation: copper Kα
Structure: a crystal structure in Alexandria, relaxed with GGA-PBE
Kinematic intensities with the Lorentz-polarization factor, no thermal factor.

The 6 most intense peaks (2θ from 5° to 70°), in order of rising 2θ:
Position (°2θ)	I (rel.)
30.55	70
31.53	73
31.85	100
40.81	50
55.95	38
65.09	48

Structure:
```
data_Tb2YTa
_chemical_formula_sum 'Tb6 Y3 Ta3'
_cell_length_a 3.2870
_cell_length_b 3.2870
_cell_length_c 35.1174
_cell_angle_alpha 90.00
_cell_angle_beta 90.00
_cell_angle_gamma 120.00
_space_group_name_H-M_alt 'P 1'
_space_group_IT_number 1
_space_group_name_Hall 'P 1'
loop_
_atom_site_label
_atom_site_fract_x
_atom_site_fract_y
_atom_site_fract_z
Tb1 0.0000 0.0000 0.0832
Tb2 0.0000 0.0000 0.9168
Tb3 0.3333 0.6667 0.5835
Tb4 0.3333 0.6667 0.7499
Tb5 0.6667 0.3333 0.2501
Tb6 0.6667 0.3333 0.4165
Y1 0.0000 0.0000 0.5000
Y2 0.3333 0.6667 0.1667
Y3 0.6667 0.3333 0.8333
Ta1 0.0000 0.0000 0.0000
Ta2 0.3333 0.6667 0.6667
Ta3 0.6667 0.3333 0.3333
```

=====

Simulated X-ray powder pattern
Compound: Pr2SmDy4Tm2
Radiation: copper Kα
Structure: a crystal structure in Alexandria, relaxed with GGA-PBE
Kinematic intensities with the Lorentz-polarization factor, no thermal factor.

The 6 most intense peaks (2θ from 5° to 70°), in order of rising 2θ:
Position (°2θ)	I (rel.)
29.68	44
31.32	63
31.61	53
31.71	53
32.29	100
58.38	20

Structure:
```
data_Pr2SmDy4Tm2
_chemical_formula_sum 'Pr2 Sm1 Dy4 Tm2'
_cell_length_a 6.0246
_cell_length_b 6.6269
_cell_length_c 8.6072
_cell_angle_alpha 79.95
_cell_angle_beta 70.51
_cell_angle_gamma 65.22
_space_group_name_H-M_alt 'P 1'
_space_group_IT_number 1
_space_group_name_Hall 'P 1'
loop_
_atom_site_label
_atom_site_fract_x
_atom_site_fract_y
_atom_site_fract_z
Pr1 0.2312 0.3265 0.3426
Pr2 0.7688 0.6735 0.6574
Sm1 0.5000 0.0000 0.0000
Dy1 0.1187 0.1278 0.7603
Dy2 0.2384 0.5774 0.8842
Dy3 0.7616 0.4226 0.1158
Dy4 0.8813 0.8722 0.2397
Tm1 0.3211 0.7696 0.4457
Tm2 0.6789 0.2304 0.5543
```

=====

Simulated X-ray powder pattern
Compound: Zr6AuC
Radiation: copper Kα
Structure: a crystal structure in Alexandria, relaxed with GGA-PBE
Kinematic intensities with the Lorentz-polarization factor, no thermal factor.

The 6 most intense peaks (2θ from 5° to 70°), in order of rising 2θ:
Position (°2θ)	I (rel.)
33.85	92
34.03	100
34.16	95
34.90	98
38.32	67
38.70	76

Structure:
```
data_Zr6AuC
_chemical_formula_sum 'Zr6 Au1 C1'
_cell_length_a 5.4310
_cell_length_b 5.6600
_cell_length_c 5.6881
_cell_angle_alpha 99.80
_cell_angle_beta 104.35
_cell_angle_gamma 97.27
_space_group_name_H-M_alt 'P 1'
_space_group_IT_number 1
_space_group_name_Hall 'P 1'
loop_
_atom_site_label
_atom_site_fract_x
_atom_site_fract_y
_atom_site_fract_z
Zr1 0.0736 0.2722 0.1639
Zr2 0.2357 0.8312 0.4399
Zr3 0.3407 0.3914 0.7440
Zr4 0.6593 0.6086 0.2560
Zr5 0.7643 0.1688 0.5601
Zr6 0.9264 0.7278 0.8361
Au1 0.5000 0.0000 0.0000
C1 0.0000 0.5000 0.5000
```

=====

Simulated X-ray powder pattern
Compound: Li3Cu4F9
Radiation: copper Kα
Structure: a crystal structure in Alexandria, relaxed with GGA-PBE
Kinematic intensities with the Lorentz-polarization factor, no thermal factor.

The 6 most intense peaks (2θ from 5° to 70°), in order of rising 2θ:
Position (°2θ)	I (rel.)
21.51	96
22.66	100
23.46	41
31.98	47
32.03	69
32.18	59

Structure:
```
data_Li3Cu4F9
_chemical_formula_sum 'Li3 Cu4 F9'
_cell_length_a 5.0553
_cell_length_b 5.4446
_cell_length_c 7.7906
_cell_angle_alpha 99.46
_cell_angle_beta 91.61
_cell_angle_gamma 114.11
_space_group_name_H-M_alt 'P 1'
_space_group_IT_number 1
_space_group_name_Hall 'P 1'
loop_
_atom_site_label
_atom_site_fract_x
_atom_site_fract_y
_atom_site_fract_z
Li1 0.0000 0.0000 0.0000
Li2 0.2669 0.4785 0.5437
Li3 0.7236 0.2659 0.7210
Cu1 0.3670 0.6306 0.9245
Cu2 0.5648 0.0068 0.3020
Cu3 0.8038 0.4589 0.2312
Cu4 0.9804 0.8717 0.6082
F1 0.0372 0.3588 0.0779
F2 0.0593 0.6187 0.7494
F3 0.2293 0.7833 0.4432
F4 0.3321 0.9506 0.0854
F5 0.3857 0.3287 0.7448
F6 0.5953 0.5103 0.4216
F7 0.7118 0.7189 0.0957
F8 0.7475 0.9510 0.7865
F9 0.8825 0.1456 0.4877
```